Starting from a crystal structure in Alexandria, relaxed with PBE, the powder diffraction line list of Ho3Hf was simulated for Cu Kα, 1.54184 Å.

Peak list (10 most intense, 10° ≤ 2θ ≤ 90°, by angle)
2θ = 29.5°, rel. 13, (0 0 2); 2θ = 29.7°, rel. 23, (1 0 1); 2θ = 33.0°, rel. 35, (0 4 0); 2θ = 33.9°, rel. 49, (0 2 2); 2θ = 34.1°, rel. 100, (1 2 1); 2θ = 45.0°, rel. 14, (1 4 1); 2θ = 52.5°, rel. 19, (1 0 3); 2θ = 59.6°, rel. 19, (1 6 1); 2θ = 63.4°, rel. 22, (1 4 3); 2θ = 64.2°, rel. 15, (2 2 2)

Crystal structure
```
8
Lattice="3.468 0.000 0.000 0.000 10.857 0.000 0.000 0.000 6.056" Properties=species:S:1:pos:R:3 pbc="T T T"
Ho 0.000 0.000 0.000
Ho 0.000 2.628 3.983
Ho 0.000 8.230 3.983
Ho 1.734 2.801 0.955
Ho 1.734 5.429 3.028
Ho 1.734 8.056 0.955
Hf 0.000 5.429 5.994
Hf 1.734 0.000 2.966
```